Pa4Ge3SbRh12: simulated X-ray powder pattern (copper Kα), based on a cell relaxed with GGA-PBE.
Lines closer than 0.1° are merged.

Structural model:
a b c (Å): 8.0247 8.0247 8.0247
angles (deg): 109.47 109.47 109.47
Element x y z (fractional)
Pa (0.0000, 0.0000, 0.5000)
Pa (0.0000, 0.5000, 0.0000)
Pa (0.5000, 0.0000, 0.0000)
Pa (0.5000, 0.5000, 0.5000)
Ge (0.0000, 0.5000, 0.5000)
Ge (0.5000, 0.0000, 0.5000)
Ge (0.5000, 0.5000, 0.0000)
Sb (0.0000, 0.0000, 0.0000)
Rh (0.0000, 0.2590, 0.2590)
Rh (0.0000, 0.7410, 0.7410)
Rh (0.2500, 0.5000, 0.7500)
Rh (0.2500, 0.7500, 0.5000)
Rh (0.2590, 0.0000, 0.2590)
Rh (0.2590, 0.2590, 0.0000)
Rh (0.5000, 0.2500, 0.7500)
Rh (0.5000, 0.7500, 0.2500)
Rh (0.7410, 0.0000, 0.7410)
Rh (0.7410, 0.7410, 0.0000)
Rh (0.7500, 0.2500, 0.5000)
Rh (0.7500, 0.5000, 0.2500)

Main lines, in order of rising 2θ (2θ from 10° to 90°):
2θ = 27.2°, rel. 52
2θ = 33.5°, rel. 100
2θ = 38.9°, rel. 95
2θ = 48.1°, rel. 23
2θ = 56.2°, rel. 65
2θ = 67.0°, rel. 40